[1]
Diffraction record for CePr3Dy3Te8. The powder diffraction line list is theoretical, not measured: it uses DFT lattice parameters and positions (PBE) and Cu Kα.
Intensities are scaled so that the largest is 100.

Cell and atoms:
```
CePr3Dy3Te8
1.0
4.4292 2.5572 7.2525
-4.4292 2.5572 7.2525
0.0000 -5.1144 7.2525
Ce Pr Dy Te
1 3 3 8
direct
0.0000 0.0000 0.0000
0.0000 0.0000 0.5000
0.0000 0.5000 0.0000
0.5000 0.0000 0.0000
0.0000 0.5000 0.5000
0.5000 0.0000 0.5000
0.5000 0.5000 0.0000
0.2546 0.2546 0.2546
0.2578 0.2578 0.7327
0.2578 0.7327 0.2578
0.2673 0.7422 0.7422
0.7327 0.2578 0.2578
0.7422 0.2673 0.7422
0.7422 0.7422 0.2673
0.7454 0.7454 0.7454
```

The 6 most intense peaks (10° ≤ 2θ ≤ 80°), most intense first:
d (Å)  Position (°2θ)  intensity
3.135  28.47  100.0
2.217  40.70  75.5
1.809  50.46  19.9
1.279  74.13  18.3
1.403  66.67  17.1
1.401  66.78  16.7



[2]
Diffraction record for CeNdNp2As4. The powder diffraction line list is theoretical, not measured: it uses DFT lattice parameters and positions (PBE) and Cu Kα.
Intensities are scaled so that the largest is 100.

Cell and atoms:
```
CeNdNp2As4
1.0
7.2367 0.0000 0.0000
0.0000 4.1731 0.0000
-2.4084 0.0000 6.8291
Ce Nd Np As
1 1 2 4
direct
0.0000 0.0000 0.0000
0.5000 0.5000 0.0000
0.0000 0.5000 0.5000
0.5000 0.0000 0.5000
0.2441 0.0000 0.7383
0.2512 0.5000 0.2593
0.7488 0.5000 0.7407
0.7559 0.0000 0.2617
```

The 6 most intense peaks (10° ≤ 2θ ≤ 80°), most intense first:
d (Å)  Position (°2θ)  intensity
2.954  30.25  100.0
2.089  43.32  75.4
3.411  26.12  32.4
1.321  71.39  28.5
1.706  53.75  26.7
1.781  51.29  16.7



[3]
Diffraction record for RbGeHSeF. The powder diffraction line list is theoretical, not measured: it uses DFT lattice parameters and positions (PBE) and Cu Kα.
Intensities are scaled so that the largest is 100.

Cell and atoms:
```
RbGeHSeF
1.0
4.1254 0.0000 0.0000
-0.5802 4.5869 0.0000
-1.5194 -0.3119 6.0579
Rb Ge H Se F
1 1 1 1 1
direct
0.0000 0.0000 0.0000
0.7772 0.4339 0.4876
0.0081 0.1330 0.5097
0.2966 0.8114 0.5262
0.6440 0.3957 0.1668
```

The 6 most intense peaks (10° ≤ 2θ ≤ 80°), most intense first:
d (Å)  Position (°2θ)  intensity
3.059  29.19  100.0
3.029  29.49  91.8
3.748  23.74  76.2
2.817  31.77  73.8
2.667  33.61  44.4
2.039  44.42  35.2



[4]
Diffraction record for V3Cr4Mo2. The powder diffraction line list is theoretical, not measured: it uses DFT lattice parameters and positions (PBE) and Cu Kα.
Intensities are scaled so that the largest is 100.

Cell and atoms:
```
V3Cr4Mo2
1.0
4.1889 0.0000 0.0000
-2.0945 3.6277 0.0000
0.0000 0.0000 7.7708
V Cr Mo
3 4 2
direct
0.0000 0.0000 0.0000
0.3333 0.6667 0.4396
0.6667 0.3333 0.5604
0.0000 0.0000 0.3384
0.0000 0.0000 0.6616
0.3333 0.6667 0.1114
0.6667 0.3333 0.8886
0.3333 0.6667 0.7801
0.6667 0.3333 0.2199
```

The 6 most intense peaks (10° ≤ 2θ ≤ 80°), most intense first:
d (Å)  Position (°2θ)  intensity
2.108  42.90  100.0
2.094  43.19  97.7
1.486  62.51  29.8
1.212  79.01  29.2
1.220  78.40  14.7
1.209  79.22  14.4